This entry pairs a crystal structure of AcTl3Hg6 with its calculated powder diffraction line list. Radiation: Cu Kα X-rays. Structure: a structure optimized by DFT (PBE).

Structure:
Cell lengths 14.6452, 14.6452, 9.4835 Å; angles 90.00, 90.00, 120.00 degrees
Space group R-3 (No. 148, hexagonal axes)
Asymmetric unit:
Ac 0.0000 0.0000 0.0000
Ac 0.0000 0.0000 0.5000
Tl 0.0328 0.8262 0.2468
Hg 0.0226 0.7854 0.5808
Hg 0.0499 0.8040 0.9120

Principal peaks in the range 5° ≤ 2θ ≤ 70°, by angle:
(2 -1 3), 2θ 30.81, rel. 47
(3 1 2), 2θ 31.67, rel. 13
(3 2 1), 2θ 32.18, rel. 10
(4 1 0), 2θ 32.35, rel. 100
(3 0 3), 2θ 35.46, rel. 17
(4 -2 3), 2θ 37.59, rel. 30
(1 4 3), 2θ 43.46, rel. 7
(3 3 3), 2θ 47.04, rel. 19
(7 -5 3), 2θ 53.64, rel. 15
(3 6 0), 2θ 57.69, rel. 13
(8 -1 3), 2θ 62.62, rel. 8
(5 -4 6), 2θ 68.34, rel. 14